For FeOF, the PBE+U geometry in the Materials Project gives the theoretical X-ray diffraction stick pattern in this record (Cu Kα (λ = 1.5418 Å)).
Peak positions follow from Bragg's law for the DFT cell and can differ from measured ones.

Lattice parameters (Å, degrees): 5.6473 4.7491 5.6654 90.00 114.32 90.00
Atoms (fractional coordinates):
1 Fe 0.2191 0.0247 0.2470
2 Fe 0.2191 0.4753 0.7470
3 Fe 0.7809 0.5247 0.2530
4 Fe 0.7809 0.9753 0.7530
5 O 0.0994 0.1947 0.9076
6 O 0.0994 0.3053 0.4076
7 O 0.9006 0.6947 0.5924
8 O 0.9006 0.8053 0.0924
9 F 0.4057 0.6928 0.1022
10 F 0.4057 0.8072 0.6022
11 F 0.5943 0.1928 0.3978
12 F 0.5943 0.3072 0.8978

Peak list (8 most intense, 10° ≤ 2θ ≤ 90°, in order of falling intensity)
h k l  d_spacing  I_rel
1 1 -1  3.359  100
0 0 2  2.578  38
1 1 -3  1.749  31
2 2 0  1.745  25
2 2 -2  1.680  16
1 3 1  1.406  14
2 0 0  2.573  11
2 1 0  2.262  10

For Li2V2F7, the PBE+U geometry in the Materials Project gives the theoretical X-ray diffraction stick pattern in this record (Cu Kα (λ = 1.5418 Å)).
Peak positions follow from Bragg's law for the DFT cell and can differ from measured ones.

Lattice parameters (Å, degrees): 5.4671 6.9077 8.5725 70.62 75.83 85.21
Atoms (fractional coordinates):
1 Li 0.1332 0.0206 0.2543
2 Li 0.3334 0.7635 0.8961
3 Li 0.6666 0.2365 0.1039
4 Li 0.8668 0.9794 0.7457
5 V 0.1804 0.4838 0.3278
6 V 0.2938 0.2744 0.8211
7 V 0.7062 0.7256 0.1789
8 V 0.8196 0.5162 0.6722
9 F 0.0703 0.2157 0.3732
10 F 0.0906 0.6137 0.1089
11 F 0.1624 0.0073 0.8136
12 F 0.1837 0.4231 0.5766
13 F 0.3192 0.7568 0.2962
14 F 0.3660 0.1794 0.0582
15 F 0.4600 0.5697 0.7739
16 F 0.5400 0.4303 0.2261
17 F 0.6340 0.8206 0.9418
18 F 0.6808 0.2432 0.7038
19 F 0.8163 0.5769 0.4234
20 F 0.8376 0.9927 0.1864
21 F 0.9094 0.3863 0.8911
22 F 0.9297 0.7843 0.6268

Peak list (8 most intense, 10° ≤ 2θ ≤ 90°, in order of falling intensity)
h k l  d_spacing  I_rel
0 1 0  6.516  100
0 1 1  6.071  99
-2 1 1  2.283  59
1 3 1  2.159  50
1 0 4  2.001  45
0 0 2  3.934  43
1 1 0  4.114  39
1 0 2  3.579  35

For MgFe3Ni2SbP6O24, the PBE+U geometry in the Materials Project gives the theoretical X-ray diffraction stick pattern in this record (Cu Kα (λ = 1.5418 Å)).
Peak positions follow from Bragg's law for the DFT cell and can differ from measured ones.

Lattice parameters (Å, degrees): 8.4845 8.6035 8.6173 61.30 61.92 61.91
Atoms (fractional coordinates):
1 Mg 0.0000 0.0000 0.0000
2 Fe 0.1266 0.4759 0.7031
3 Fe 0.6182 0.9705 0.2212
4 Fe 0.9177 0.2614 0.4943
5 Ni 0.2766 0.6005 0.8449
6 Ni 0.7615 0.1237 0.3693
7 Sb 0.4228 0.7597 0.0020
8 P 0.0201 0.6624 0.3107
9 P 0.2120 0.1666 0.1037
10 P 0.3177 0.0745 0.5982
11 P 0.5253 0.5656 0.4079
12 P 0.7293 0.3785 0.8908
13 P 0.8404 0.8710 0.8065
14 O 0.0195 0.1765 0.2540
15 O 0.0264 0.7047 0.7878
16 O 0.0959 0.6173 0.4594
17 O 0.1729 0.0787 0.5405
18 O 0.1771 0.7018 0.0972
19 O 0.2065 0.3558 0.9399
20 O 0.2321 0.0073 0.0357
21 O 0.2382 0.2222 0.6897
22 O 0.3429 0.8700 0.7681
23 O 0.3636 0.5483 0.5998
24 O 0.3815 0.1035 0.1575
25 O 0.4377 0.6207 0.2529
26 O 0.5126 0.0730 0.4516
27 O 0.5183 0.5255 0.9361
28 O 0.5980 0.7138 0.3682
29 O 0.6614 0.8024 0.9051
30 O 0.6706 0.3719 0.4109
31 O 0.7464 0.3212 0.7431
32 O 0.7492 0.2095 0.0761
33 O 0.8243 0.0156 0.6173
34 O 0.8356 0.9419 0.9421
35 O 0.8683 0.4739 0.8363
36 O 0.8783 0.8674 0.2816
37 O 0.9659 0.5134 0.3248

Peak list (8 most intense, 10° ≤ 2θ ≤ 90°, in order of falling intensity)
h k l  d_spacing  I_rel
0 1 -1  4.394  100
-2 1 1  2.537  56
1 2 3  2.739  31
0 2 1  3.738  29
3 2 1  2.691  28
2 1 0  3.677  27
1 0 2  3.706  26
2 3 1  2.713  25